# 1
Calculated powder diffractogram of Zr6Al2H for CuKα, from the PBE geometry in Alexandria.

Structure:
```
data_Zr6Al2H
_chemical_formula_sum 'Zr12 Al4 H2'
_space_group_name_H-M_alt 'P 1 21/c 1'
_space_group_IT_number 14
_space_group_name_Hall '-P 2ybc'
_cell_length_a 6.0006
_cell_length_b 6.0612
_cell_length_c 11.3139
_cell_angle_alpha 90.00
_cell_angle_beta 121.52
_cell_angle_gamma 90.00
loop_
_atom_site_label
_atom_site_type_symbol
_atom_site_fract_x
_atom_site_fract_y
_atom_site_fract_z
_atom_site_occupancy
Zr1 Zr 0.1009 0.2355 0.4746 1
Zr2 Zr 0.3361 0.7011 0.4753 1
Zr3 Zr 0.3785 0.5075 0.7534 1
Al1 Al 0.1398 0.0841 0.7443 1
H1 H 0.5000 0.0000 0.5000 1
```

Largest 8 diffraction maxima, sorted by position, 2θ from 10° to 90°:
d_spacing  I (rel.)
2.689  41
2.606  18
2.595  23
2.585  18
2.566  100
2.411  41
2.356  39
2.341  39

=====

# 2
Calculated powder diffractogram of CsPuCuBr5 for CuKα, from the PBE geometry in Alexandria.

Structure:
```
data_CsPuCuBr5
_chemical_formula_sum 'Cs4 Pu4 Cu4 Br20'
_space_group_name_H-M_alt 'C 1 2/c 1'
_space_group_IT_number 15
_space_group_name_Hall '-C 2yc'
_cell_length_a 9.7002
_cell_length_b 12.8472
_cell_length_c 10.8634
_cell_angle_alpha 90.00
_cell_angle_beta 113.54
_cell_angle_gamma 90.00
loop_
_atom_site_label
_atom_site_type_symbol
_atom_site_fract_x
_atom_site_fract_y
_atom_site_fract_z
_atom_site_occupancy
Cs1 Cs 0.0000 0.1512 0.2500 1
Pu1 Pu 0.0000 0.5000 0.0000 1
Cu1 Cu 0.0000 0.1927 0.7500 1
Br1 Br 0.0000 0.4279 0.2500 1
Br2 Br 0.0978 0.2936 0.6086 1
Br3 Br 0.1964 0.0785 0.9166 1
```

Largest 8 diffraction maxima, sorted by position, 2θ from 10° to 90°:
d_spacing  I (rel.)
7.312  59
4.939  100
4.447  51
3.936  33
3.859  42
3.405  37
3.117  29
2.569  57